1.
# CsCu4Sn3Br12
Calculated XRD peak list, copper Kα. Input: DFT lattice parameters and positions (PBE).

Cell and atoms:
```
20
Lattice="7.5709 4.3710 3.7644 -7.5709 4.3710 3.7644 0.0000 -8.7421 3.7644" Properties=species:S:1:pos:R:3 pbc="T T T"
Cs 0.0000 0.0000 0.0000
Cu -3.2372 -5.6070 5.6466
Cu 0.0000 0.0000 5.6466
Cu -3.2372 5.6070 5.6466
Cu 6.4744 0.0000 5.6466
Sn -4.2431 -1.3928 3.7644
Sn 3.3277 -2.9783 3.7644
Sn 0.9154 4.3710 3.7644
Br -4.6965 -3.8281 5.2564
Br -6.2563 0.0000 5.6466
Br -0.9670 -5.9813 6.0368
Br -2.3588 0.0000 5.6466
Br -4.6965 3.8281 6.0368
Br 3.1281 -5.4181 5.6466
Br 1.1794 -2.0428 5.6466
Br -0.9670 5.9813 5.2564
Br 1.1794 2.0428 5.6466
Br 5.6635 -2.1532 5.2564
Br 3.1281 5.4181 5.6466
Br 5.6635 2.1532 6.0368
```

Top 12 peaks for 15° ≤ 2θ ≤ 90°, sorted by position:
- 19.56°, I = 36
- 20.76°, I = 100
- 23.89°, I = 19
- 25.73°, I = 18
- 29.21°, I = 68
- 34.59°, I = 18
- 39.07°, I = 19
- 40.45°, I = 22
- 43.08°, I = 30
- 44.04°, I = 18
- 47.31°, I = 18
- 51.39°, I = 29



2.
# SnI
Calculated XRD peak list, copper Kα. Input: DFT lattice parameters and positions (PBE).

Cell and atoms:
```
16
Lattice="13.1716 0.0000 0.0000 0.0000 13.1716 0.0000 0.0000 0.0000 3.8718" Properties=species:S:1:pos:R:3 pbc="T T T"
Sn 0.8238 4.9131 0.0000
Sn 1.6727 7.4097 1.9359
Sn 4.9131 12.3478 0.0000
Sn 5.7620 1.6727 1.9359
Sn 7.4097 11.4990 1.9359
Sn 8.2585 0.8238 0.0000
Sn 11.4990 5.7620 1.9359
Sn 12.3478 8.2585 0.0000
I 1.3689 2.6593 1.9359
I 2.6593 11.8027 1.9359
I 3.9265 7.9547 0.0000
I 5.2169 3.9265 0.0000
I 7.9547 9.2451 0.0000
I 9.2451 5.2169 0.0000
I 10.5123 1.3689 1.9359
I 11.8027 10.5123 1.9359
```

Top 12 peaks for 15° ≤ 2θ ≤ 90°, sorted by position:
- 21.33°, I = 72
- 23.96°, I = 15
- 27.08°, I = 15
- 30.79°, I = 51
- 33.73°, I = 100
- 34.73°, I = 18
- 36.46°, I = 13
- 43.45°, I = 31
- 48.15°, I = 13
- 50.22°, I = 15
- 52.10°, I = 13
- 65.87°, I = 18



3.
# Cs3Cd4Sb4
Calculated XRD peak list, copper Kα. Input: DFT lattice parameters and positions (PBE).

Cell and atoms:
```
11
Lattice="-4.6696 4.6696 4.6696 4.6696 -4.6696 4.6696 4.6696 4.6696 -4.6696" Properties=species:S:1:pos:R:3 pbc="T T T"
Cs 4.6696 0.0000 0.0000
Cs 0.0000 4.6696 0.0000
Cs 0.0000 0.0000 4.6696
Cd 3.2566 3.2566 -3.2566
Cd 3.2566 -3.2566 3.2566
Cd 1.4129 1.4129 1.4129
Cd -3.2566 3.2566 3.2566
Sb 1.5593 1.5593 -1.5593
Sb 1.5593 -1.5593 1.5593
Sb -1.5593 1.5593 1.5593
Sb 3.1103 3.1103 3.1103
```

Top 12 peaks for 15° ≤ 2θ ≤ 90°, sorted by position:
- 23.33°, I = 29
- 27.00°, I = 54
- 30.26°, I = 100
- 41.00°, I = 46
- 43.33°, I = 37
- 45.56°, I = 21
- 55.67°, I = 14
- 57.54°, I = 26
- 59.38°, I = 17
- 68.09°, I = 16
- 74.69°, I = 14
- 76.30°, I = 14



4.
# La3Cd9Ag2
Calculated XRD peak list, copper Kα. Input: DFT lattice parameters and positions (PBE).

Cell and atoms:
```
14
Lattice="-2.4830 4.9652 7.0816 2.4830 -4.9652 7.0816 2.4830 4.9652 -7.0816" Properties=species:S:1:pos:R:3 pbc="T T T"
La 0.0000 0.0000 0.0000
La 0.0000 0.0000 4.1828
La 0.0000 0.0000 9.9805
Cd 2.4830 -1.4013 2.1841
Cd 2.4830 -2.1364 5.1363
Cd 2.4830 1.4013 2.1841
Cd 0.0000 2.8288 1.9453
Cd 0.0000 4.9652 0.0000
Cd 2.4830 2.1364 5.1363
Cd 0.0000 3.5640 4.8975
Cd 0.0000 7.1017 1.9453
Cd 0.0000 6.3665 4.8975
Ag 2.4830 3.2919 0.0000
Ag 0.0000 1.6733 7.0816
```

Top 12 peaks for 15° ≤ 2θ ≤ 90°, sorted by position:
- 31.02°, I = 38
- 31.76°, I = 100
- 32.33°, I = 42
- 32.51°, I = 38
- 33.05°, I = 24
- 34.95°, I = 43
- 36.18°, I = 72
- 38.12°, I = 27
- 41.15°, I = 35
- 41.54°, I = 29
- 48.38°, I = 22
- 62.06°, I = 31



5.
# Zr9N4O2
Calculated XRD peak list, copper Kα. Input: DFT lattice parameters and positions (PBE).

Cell and atoms:
```
30
Lattice="5.6894 0.0000 0.0000 -2.8447 4.9272 0.0000 0.0000 0.0000 15.7228" Properties=species:S:1:pos:R:3 pbc="T T T"
Zr -0.9484 1.6427 3.9307
Zr -1.8963 3.2845 11.7921
Zr -0.9376 1.6953 14.4215
Zr -1.8453 3.2675 6.5601
Zr 1.8968 0.0000 3.9307
Zr 0.9484 1.6427 11.7921
Zr 0.9376 1.6953 6.5601
Zr -0.9077 4.8915 14.4215
Zr 1.9370 0.0357 9.1626
Zr 0.9994 1.6596 1.3012
Zr 1.8453 3.2675 14.4215
Zr 0.9077 4.8915 6.5601
Zr 3.7524 0.0357 1.3012
Zr 1.9071 3.2318 9.1626
Zr 3.7926 0.0000 11.7921
Zr 1.8963 3.2845 3.9307
Zr 4.6900 1.6596 9.1626
Zr 3.7823 3.2318 1.3012
N 0.0000 3.2848 0.0784
N 0.0000 3.2848 5.1475
N 0.0000 3.2848 7.9398
N 0.0000 3.2848 13.0089
N 2.8447 1.6424 2.7139
N 2.8447 1.6424 7.7830
N 2.8447 1.6424 10.5753
N 2.8447 1.6424 15.6444
O 0.0000 0.0000 2.5609
O 0.0000 0.0000 5.3005
O 0.0000 0.0000 10.4223
O 0.0000 0.0000 13.1619
```

Top 12 peaks for 15° ≤ 2θ ≤ 90°, sorted by position:
- 31.45°, I = 15
- 34.22°, I = 21
- 35.92°, I = 100
- 47.15°, I = 21
- 55.99°, I = 21
- 62.38°, I = 19
- 67.28°, I = 17
- 68.33°, I = 14
- 72.08°, I = 3
- 76.15°, I = 5
- 80.75°, I = 2
- 88.68°, I = 7



6.
# Pb6I7Br5
Calculated XRD peak list, copper Kα. Input: DFT lattice parameters and positions (PBE).

Cell and atoms:
```
18
Lattice="14.1999 0.0000 0.0000 0.0000 5.4706 5.1025 0.0000 -5.4706 5.1025" Properties=species:S:1:pos:R:3 pbc="T T T"
Pb 0.0000 0.0000 0.0000
Pb 2.3543 0.0000 5.0953
Pb 4.6412 0.0000 10.1793
Pb 7.0999 0.0000 5.2878
Pb 9.5586 0.0000 10.1793
Pb 11.8455 0.0000 5.0953
I 0.0000 -2.2255 5.0744
I 0.0000 2.2255 5.0744
I 4.7149 -2.2096 5.2032
I 4.7149 2.2096 5.2032
I 7.0999 0.0000 2.0658
I 9.4850 -2.2096 5.2032
I 9.4850 2.2096 5.2032
Br 2.2878 0.0000 8.1765
Br 2.3598 0.0000 2.0009
Br 7.0999 0.0000 8.3099
Br 11.8400 0.0000 2.0009
Br 11.9121 0.0000 8.1765
```

Top 12 peaks for 15° ≤ 2θ ≤ 90°, sorted by position:
- 16.20°, I = 62
- 17.38°, I = 99
- 22.24°, I = 62
- 24.87°, I = 50
- 25.67°, I = 46
- 32.20°, I = 100
- 32.74°, I = 37
- 33.46°, I = 71
- 35.18°, I = 32
- 38.02°, I = 38
- 40.99°, I = 99
- 42.08°, I = 30